Record 1
The following is a computed powder diffraction line list of Li4CoRuO6. It was derived from a PBE+U-relaxed structure, using a wavelength of 1.5418 Å.
No peak broadening, texture or thermal motion is included.

Top 10 peaks for 15 to 90 degrees two-theta, in order of rising 2θ:
Position (°2θ), I (rel.)
18.46, 100.0
20.32, 23.0
21.25, 40.3
23.80, 29.8
27.59, 19.9
36.14, 42.5
43.80, 81.7
63.43, 22.8
63.90, 22.6
67.14, 15.4

Cell lengths 5.0476, 8.7387, 5.0927 Å; angles 90.00, 109.35, 90.00 degrees
Space group C2 (No. 5)
Unique sites:
Li1 0.0000 0.0000 0.0000 [2 per cell]
Li2 0.0000 0.1594 0.5000 [2 per cell]
Li3 0.0000 0.5054 0.5000 [2 per cell]
Li4 0.0000 0.8365 0.5000 [2 per cell]
Co1 0.0000 0.6670 0.0000 [2 per cell]
Ru1 0.0000 0.3332 0.0000 [2 per cell]
O1 0.2235 0.5026 0.2306 [4 per cell]
O2 0.2438 0.6757 0.7736 [4 per cell]
O3 0.2494 0.8220 0.2277 [4 per cell]


Record 2
The following is a computed powder diffraction line list of SmMo5O8. It was derived from a PBE+U-relaxed structure, using a wavelength of 1.5418 Å.
No peak broadening, texture or thermal motion is included.

Top 10 peaks for 15 to 90 degrees two-theta, in order of rising 2θ:
Position (°2θ), I (rel.)
26.80, 21.8
28.07, 25.1
28.43, 21.7
30.20, 100.0
31.66, 55.1
32.69, 29.1
33.07, 55.0
34.12, 22.0
34.38, 22.4
34.76, 33.8

Cell lengths 8.3862, 9.2780, 10.7473 Å; angles 90.00, 109.20, 90.00 degrees
Space group P2_1/c (No. 14)
Unique sites:
Sm1 0.1946 0.0149 0.4616 [4 per cell]
Mo1 0.0979 0.1391 0.8114 [4 per cell]
Mo2 0.1094 0.6482 0.4820 [4 per cell]
Mo3 0.2967 0.6394 0.2721 [4 per cell]
Mo4 0.3017 0.1248 0.1364 [4 per cell]
Mo5 0.4905 0.1459 0.9219 [4 per cell]
O1 0.0804 0.5020 0.6343 [4 per cell]
O2 0.0944 0.5007 0.1460 [4 per cell]
O3 0.1039 0.2492 0.4905 [4 per cell]
O4 0.1249 0.7179 0.8266 [4 per cell]
O5 0.2920 0.2063 0.3179 [4 per cell]
O6 0.3099 0.7104 0.0897 [4 per cell]
O7 0.4876 0.0113 0.7686 [4 per cell]
O8 0.4904 0.2472 0.0935 [4 per cell]